# MgInSn
Computed powder diffraction line list, a wavelength of 1.5418 Å. Input: a structure optimized by DFT (GGA-PBE).

Principal peaks in the range 2θ = 15–90°, in order of rising 2θ:
- 2θ = 19.2°, d 4.619, I 49
- 2θ = 28.8°, d 3.105, I 32
- 2θ = 33.6°, d 2.667, I 100
- 2θ = 34.8°, d 2.577, I 55
- 2θ = 44.8°, d 2.023, I 58
- 2θ = 49.2°, d 1.853, I 21
- 2θ = 60.1°, d 1.540, I 19
- 2θ = 60.9°, d 1.522, I 22
- 2θ = 67.9°, d 1.380, I 17
- 2θ = 70.1°, d 1.342, I 24
- 2θ = 78.0°, d 1.225, I 12
- 2θ = 89.7°, d 1.093, I 13

Structural model:
Cell: 5.3341 5.3341 3.1052 Å, 90.00 90.00 120.00°
Element x y z (fractional)
Mg1 0.0000 0.0000 0.0000
In1 0.6667 0.3333 0.5024
Sn1 0.3333 0.6667 0.4960

---

# YPd6Au6
Computed powder diffraction line list, a wavelength of 1.5418 Å. Input: a structure optimized by DFT (GGA-PBE).

Principal peaks in the range 2θ = 15–90°, in order of rising 2θ:
- 2θ = 32.8°, d 2.734, I 42
- 2θ = 33.2°, d 2.699, I 75
- 2θ = 38.2°, d 2.354, I 64
- 2θ = 38.7°, d 2.329, I 89
- 2θ = 38.7°, d 2.324, I 42
- 2θ = 39.0°, d 2.308, I 40
- 2θ = 43.1°, d 2.100, I 100
- 2θ = 43.5°, d 2.078, I 35
- 2θ = 43.7°, d 2.073, I 31
- 2θ = 62.4°, d 1.487, I 28
- 2θ = 69.7°, d 1.350, I 27
- 2θ = 70.4°, d 1.337, I 34

Structural model:
Cell: 7.1032 7.1032 7.1032 Å, 134.72 98.93 98.11°
Element x y z (fractional)
Y1 0.0000 0.0000 0.0000
Pd1 0.0000 0.0000 0.5000
Pd2 0.0000 0.5000 0.0000
Pd3 0.2354 0.5000 0.7354
Pd4 0.5000 0.0000 0.0000
Pd5 0.5000 0.5000 0.5000
Pd6 0.7646 0.5000 0.2646
Au1 0.1882 0.6882 0.5000
Au2 0.3338 0.0000 0.3338
Au3 0.3419 0.3419 0.0000
Au4 0.6581 0.6581 0.0000
Au5 0.6662 0.0000 0.6662
Au6 0.8118 0.3118 0.5000

---

# NaZnBr3O5
Computed powder diffraction line list, a wavelength of 1.5418 Å. Input: a structure optimized by DFT (GGA-PBE).

Principal peaks in the range 2θ = 15–90°, in order of rising 2θ:
- 2θ = 16.5°, d 5.381, I 13
- 2θ = 18.4°, d 4.818, I 12
- 2θ = 27.5°, d 3.244, I 36
- 2θ = 28.6°, d 3.122, I 42
- 2θ = 31.1°, d 2.878, I 100
- 2θ = 40.1°, d 2.249, I 36
- 2θ = 47.0°, d 1.935, I 10
- 2θ = 48.6°, d 1.873, I 26
- 2θ = 50.9°, d 1.794, I 28
- 2θ = 52.2°, d 1.752, I 26
- 2θ = 57.4°, d 1.606, I 22
- 2θ = 64.8°, d 1.439, I 11

Structural model:
Cell: 7.2805 7.2805 7.2805 Å, 52.92 52.92 52.92°
Element x y z (fractional)
Na1 0.0000 0.0000 0.0000
Zn1 0.5443 0.5443 0.5443
Br1 0.1604 0.5238 0.8776
Br2 0.5238 0.8776 0.1604
Br3 0.8776 0.1604 0.5238
O1 0.2555 0.2555 0.2555
O2 0.4660 0.8842 0.6769
O3 0.6769 0.4660 0.8842
O4 0.6929 0.6929 0.6929
O5 0.8842 0.6769 0.4660

---

# La5Pm5Pr2
Computed powder diffraction line list, a wavelength of 1.5418 Å. Input: a structure optimized by DFT (GGA-PBE).

Principal peaks in the range 2θ = 15–90°, in order of rising 2θ:
- 2θ = 29.8°, d 2.998, I 20
- 2θ = 30.3°, d 2.954, I 33
- 2θ = 30.7°, d 2.912, I 100
- 2θ = 32.2°, d 2.783, I 20
- 2θ = 43.0°, d 2.105, I 16
- 2θ = 45.0°, d 2.016, I 7
- 2θ = 53.4°, d 1.716, I 6
- 2θ = 54.0°, d 1.698, I 20
- 2θ = 55.2°, d 1.665, I 7
- 2θ = 62.9°, d 1.477, I 8
- 2θ = 71.1°, d 1.326, I 6
- 2θ = 87.5°, d 1.114, I 6

Structural model:
Cell: 6.7313 6.7313 12.6385 Å, 106.46 106.46 52.07°
Element x y z (fractional)
La1 0.0000 0.0000 0.0000
La2 0.1911 0.1911 0.4647
La3 0.2575 0.2575 0.2250
La4 0.7425 0.7425 0.7750
La5 0.8089 0.8089 0.5353
Pm1 0.3105 0.3105 0.9690
Pm2 0.4311 0.4311 0.7575
Pm3 0.5000 0.5000 0.5000
Pm4 0.5689 0.5689 0.2425
Pm5 0.6895 0.6895 0.0310
Pr1 0.0860 0.0860 0.7056
Pr2 0.9140 0.9140 0.2944

---

# Fe5Co
Computed powder diffraction line list, a wavelength of 1.5418 Å. Input: a structure optimized by DFT (GGA-PBE).

Principal peaks in the range 2θ = 15–90°, in order of rising 2θ:
- 2θ = 45.0°, d 2.013, I 100
- 2θ = 45.1°, d 2.010, I 20
- 2θ = 65.5°, d 1.425, I 6
- 2θ = 65.6°, d 1.422, I 12
- 2θ = 83.0°, d 1.164, I 9
- 2θ = 83.1°, d 1.162, I 17
- 2θ = 83.2°, d 1.161, I 3
- 2θ = 83.3°, d 1.160, I 6

Structural model:
Cell: 2.4675 4.0250 6.9666 Å, 90.00 90.21 90.00°
Element x y z (fractional)
Fe1 0.0000 0.0000 0.0000
Fe2 0.3300 0.0000 0.3345
Fe3 0.3302 0.5000 0.8321
Fe4 0.6700 0.0000 0.6655
Fe5 0.6698 0.5000 0.1679
Co1 0.0000 0.5000 0.5000

---

# CsGeB2Br8
Computed powder diffraction line list, a wavelength of 1.5418 Å. Input: a structure optimized by DFT (GGA-PBE).

Principal peaks in the range 2θ = 15–90°, in order of rising 2θ:
- 2θ = 19.1°, d 4.654, I 47
- 2θ = 25.3°, d 3.525, I 35
- 2θ = 28.2°, d 3.166, I 100
- 2θ = 31.8°, d 2.811, I 98
- 2θ = 32.2°, d 2.778, I 14
- 2θ = 43.8°, d 2.068, I 29
- 2θ = 47.5°, d 1.916, I 31
- 2θ = 51.0°, d 1.792, I 13
- 2θ = 54.5°, d 1.683, I 16
- 2θ = 56.1°, d 1.639, I 10
- 2θ = 58.3°, d 1.583, I 14
- 2θ = 78.4°, d 1.220, I 9

Structural model:
Cell: 11.2487 11.2487 11.2487 Å, 34.31 34.31 34.31°
Element x y z (fractional)
Cs1 0.0000 0.0000 0.0000
Ge1 0.5000 0.5000 0.5000
B1 0.2493 0.2493 0.2493
B2 0.7507 0.7507 0.7507
Br1 0.0541 0.4727 0.7880
Br2 0.2120 0.9459 0.5273
Br3 0.3134 0.3134 0.3134
Br4 0.4727 0.7880 0.0541
Br5 0.5273 0.2120 0.9459
Br6 0.6866 0.6866 0.6866
Br7 0.7880 0.0541 0.4727
Br8 0.9459 0.5273 0.2120

---

# Ba9In4H
Computed powder diffraction line list, a wavelength of 1.5418 Å. Input: a structure optimized by DFT (GGA-PBE).

Principal peaks in the range 2θ = 15–90°, in order of rising 2θ:
- 2θ = 24.1°, d 3.692, I 14
- 2θ = 25.3°, d 3.522, I 14
- 2θ = 27.3°, d 3.270, I 100
- 2θ = 28.3°, d 3.150, I 15
- 2θ = 29.9°, d 2.986, I 32
- 2θ = 30.1°, d 2.966, I 28
- 2θ = 32.4°, d 2.763, I 13
- 2θ = 37.5°, d 2.396, I 11
- 2θ = 41.7°, d 2.167, I 11
- 2θ = 44.7°, d 2.028, I 11
- 2θ = 49.5°, d 1.841, I 12
- 2θ = 51.5°, d 1.774, I 17

Structural model:
Cell: 10.4005 10.4005 10.4005 Å, 94.73 94.73 146.63°
Element x y z (fractional)
Ba1 0.0000 0.0000 0.0000
Ba2 0.1139 0.3743 0.4881
Ba3 0.3175 0.6080 0.9255
Ba4 0.3743 0.8861 0.2604
Ba5 0.3920 0.3175 0.7096
Ba6 0.6080 0.6825 0.2904
Ba7 0.6257 0.1139 0.7396
Ba8 0.6825 0.3920 0.0745
Ba9 0.8861 0.6257 0.5119
In1 0.1000 0.7620 0.8620
In2 0.2380 0.1000 0.3380
In3 0.7620 0.9000 0.6620
In4 0.9000 0.2380 0.1380
H1 0.5000 0.5000 0.0000

---

# CaIn2Cu
Computed powder diffraction line list, a wavelength of 1.5418 Å. Input: a structure optimized by DFT (GGA-PBE).

Principal peaks in the range 2θ = 15–90°, in order of rising 2θ:
- 2θ = 19.0°, d 4.664, I 13
- 2θ = 28.3°, d 3.155, I 10
- 2θ = 34.3°, d 2.613, I 100
- 2θ = 38.6°, d 2.332, I 18
- 2θ = 40.4°, d 2.231, I 31
- 2θ = 45.0°, d 2.013, I 6
- 2θ = 48.5°, d 1.875, I 5
- 2θ = 57.1°, d 1.612, I 22
- 2θ = 58.5°, d 1.577, I 10
- 2θ = 67.1°, d 1.395, I 13
- 2θ = 69.6°, d 1.350, I 23
- 2θ = 72.3°, d 1.307, I 10

Structural model:
Cell: 4.4618 4.4618 4.6640 Å, 90.00 90.00 90.00°
Element x y z (fractional)
Ca1 0.0000 0.0000 0.0000
In1 0.0000 0.5000 0.5000
In2 0.5000 0.0000 0.5000
Cu1 0.5000 0.5000 0.0000

---

# BaLiSb2Se4
Computed powder diffraction line list, a wavelength of 1.5418 Å. Input: a structure optimized by DFT (GGA-PBE).

Principal peaks in the range 2θ = 15–90°, in order of rising 2θ:
- 2θ = 22.8°, d 3.903, I 51
- 2θ = 28.2°, d 3.164, I 41
- 2θ = 28.5°, d 3.129, I 95
- 2θ = 30.6°, d 2.926, I 100
- 2θ = 37.8°, d 2.382, I 63
- 2θ = 39.7°, d 2.269, I 47
- 2θ = 40.7°, d 2.217, I 29
- 2θ = 42.3°, d 2.134, I 24
- 2θ = 43.2°, d 2.095, I 22
- 2θ = 44.3°, d 2.046, I 30
- 2θ = 49.4°, d 1.844, I 23
- 2θ = 61.0°, d 1.520, I 23

Structural model:
Cell: 7.1652 7.1652 14.3010 Å, 90.00 90.00 143.08°
Element x y z (fractional)
Ba1 0.1218 0.8782 0.7500
Ba2 0.8782 0.1218 0.2500
Li1 0.1431 0.8569 0.2500
Li2 0.8569 0.1431 0.7500
Sb1 0.3733 0.6267 0.5518
Sb2 0.3733 0.6267 0.9482
Sb3 0.6267 0.3733 0.0518
Sb4 0.6267 0.3733 0.4482
Se1 0.0000 0.0000 0.0000
Se2 0.0000 0.0000 0.5000
Se3 0.2643 0.7357 0.1119
Se4 0.2643 0.7357 0.3881
Se5 0.4436 0.5564 0.7500
Se6 0.5564 0.4436 0.2500
Se7 0.7357 0.2643 0.6119
Se8 0.7357 0.2643 0.8881

---

# Ti4RhW
Computed powder diffraction line list, a wavelength of 1.5418 Å. Input: a structure optimized by DFT (GGA-PBE).

Principal peaks in the range 2θ = 15–90°, in order of rising 2θ:
- 2θ = 25.3°, d 3.514, I 100
- 2θ = 42.0°, d 2.152, I 89
- 2θ = 42.1°, d 2.148, I 18
- 2θ = 49.7°, d 1.835, I 40
- 2θ = 49.7°, d 1.833, I 8
- 2θ = 60.9°, d 1.521, I 17
- 2θ = 67.0°, d 1.397, I 13
- 2θ = 67.1°, d 1.394, I 6
- 2θ = 76.7°, d 1.243, I 20
- 2θ = 76.8°, d 1.241, I 14
- 2θ = 82.3°, d 1.172, I 8
- 2θ = 82.4°, d 1.171, I 6

Structural model:
Cell: 4.3051 4.3051 7.4454 Å, 106.84 106.84 60.07°
Element x y z (fractional)
Ti1 0.1247 0.1247 0.3742
Ti2 0.3751 0.3751 0.1249
Ti3 0.6249 0.6249 0.8751
Ti4 0.8753 0.8753 0.6258
Rh1 0.5000 0.5000 0.5000
W1 0.0000 0.0000 0.0000

---

# Nd2H5
Computed powder diffraction line list, a wavelength of 1.5418 Å. Input: a structure optimized by DFT (GGA-PBE).

Principal peaks in the range 2θ = 15–90°, in order of rising 2θ:
- 2θ = 28.5°, d 3.134, I 100
- 2θ = 32.6°, d 2.746, I 17
- 2θ = 33.2°, d 2.699, I 33
- 2θ = 47.2°, d 1.925, I 26
- 2θ = 47.7°, d 1.908, I 13
- 2θ = 55.7°, d 1.650, I 15
- 2θ = 56.5°, d 1.630, I 30
- 2θ = 58.9°, d 1.567, I 13
- 2θ = 76.3°, d 1.248, I 12
- 2θ = 76.9°, d 1.239, I 6
- 2θ = 78.1°, d 1.224, I 6
- 2θ = 88.5°, d 1.105, I 9

Structural model:
Cell: 6.6872 6.6872 6.6872 Å, 132.39 132.39 69.61°
Element x y z (fractional)
Nd1 0.1215 0.3715 0.7500
Nd2 0.3715 0.1215 0.2500
Nd3 0.6285 0.8785 0.7500
Nd4 0.8785 0.6285 0.2500
H1 0.0000 0.2691 0.2691
H2 0.0000 0.7309 0.7309
H3 0.1250 0.8750 0.2500
H4 0.2691 0.0000 0.7691
H5 0.2691 0.5000 0.2691
H6 0.5000 0.2691 0.7691
H7 0.5000 0.7309 0.2309
H8 0.7309 0.0000 0.2309
H9 0.7309 0.5000 0.7309
H10 0.8750 0.1250 0.7500

---

# Nd5Te4Ir
Computed powder diffraction line list, a wavelength of 1.5418 Å. Input: a structure optimized by DFT (GGA-PBE).

Principal peaks in the range 2θ = 15–90°, in order of rising 2θ:
- 2θ = 27.9°, d 3.192, I 38
- 2θ = 28.6°, d 3.121, I 100
- 2θ = 32.4°, d 2.765, I 13
- 2θ = 37.1°, d 2.425, I 9
- 2θ = 40.4°, d 2.232, I 57
- 2θ = 40.9°, d 2.207, I 38
- 2θ = 50.3°, d 1.816, I 30
- 2θ = 58.8°, d 1.570, I 10
- 2θ = 59.2°, d 1.561, I 13
- 2θ = 66.7°, d 1.402, I 13
- 2θ = 67.0°, d 1.396, I 18
- 2θ = 74.1°, d 1.279, I 29

Structural model:
Cell: 16.2643 16.2643 16.2643 Å, 164.40 164.40 22.13°
Element x y z (fractional)
Nd1 0.0000 0.0000 0.0000
Nd2 0.2086 0.2086 0.0000
Nd3 0.4153 0.4153 0.0000
Nd4 0.5847 0.5847 0.0000
Nd5 0.7914 0.7914 0.0000
Te1 0.1037 0.1037 0.0000
Te2 0.3090 0.3090 0.0000
Te3 0.6910 0.6910 0.0000
Te4 0.8963 0.8963 0.0000
Ir1 0.5000 0.5000 0.0000